(1)
Starting from the PBE geometry in Alexandria, the PXRD pattern of RbNaHg6 was computed for CuKα.

Main lines, by intensity (10 to 90 degrees two-theta):
two_theta, I (rel.), (hkl)
31.90, 100, 2 1 0
35.04, 32, 2 1 1
52.61, 26, 3 0 2
68.56, 22, 4 2 1
82.88, 21, 4 2 3
20.02, 20, 1 1 0
54.76, 19, 3 2 1
50.40, 17, 2 2 2
28.46, 14, 2 0 0
58.89, 12, 4 0 0

Cell: 6.273 6.273 6.273 Å, 90.00 90.00 90.00°
Space group Pm-3 (No. 200)
One atom of each set of equivalent atoms:
Rb: 0.000 0.000 0.000 [1 per cell]
Na: 0.500 0.500 0.500 [1 per cell]
Hg: 0.000 0.262 0.500 [6 per cell]

=====

(2)
Starting from the PBE geometry in Alexandria, the PXRD pattern of NaSrPuBr6 was computed for CuKα.

Main lines, by intensity (10 to 90 degrees two-theta):
two_theta, I (rel.), (hkl)
34.79, 100, 2 1 3
17.91, 93, 1 1 0
26.64, 88, 1 1 3
14.22, 77, 1 0 1
43.59, 68, 3 0 3
36.27, 43, 2 2 0
28.49, 32, 2 1 0
39.72, 27, 0 0 6
76.12, 26, 5 2 3
54.87, 25, 2 2 6

Cell: 7.006 7.006 13.617 Å, 90.00 90.00 90.00°
Space group P4_2nm (No. 102)
One atom of each set of equivalent atoms:
Na: 0.000 0.000 0.000 [2 per cell]
Sr: 0.000 0.000 0.332 [2 per cell]
Pu: 0.000 0.000 0.667 [2 per cell]
Br: 0.190 0.190 0.829 [4 per cell]
Br: 0.194 0.194 0.508 [4 per cell]
Br: 0.208 0.208 0.164 [4 per cell]

=====

(3)
Starting from the PBE geometry in Alexandria, the PXRD pattern of ReAg6Br12 was computed for CuKα.

Main lines, by intensity (10 to 90 degrees two-theta):
two_theta, I (rel.), (hkl)
32.24, 100, 2 1 4
16.13, 74, 0 0 3
24.30, 50, 2 1 1
41.64, 36, 1 4 0
44.93, 26, 5 -1 3
13.96, 25, 0 1 2
50.52, 24, 3 -2 8
45.46, 19, 2 1 7
42.76, 17, 0 3 6
34.30, 15, 3 1 2

Cell: 11.4772 11.4772 16.4836 Å, 90.00 90.00 120.00°
Space group R-3 (No. 148, hexagonal axes)
One atom of each set of equivalent atoms:
Re: 0.0000 0.0000 0.0000 [3 per cell]
Ag: 0.0327 0.2571 0.6572 [18 per cell]
Br: 0.0159 0.2116 0.3940 [18 per cell]
Br: 0.0582 0.1995 0.9124 [18 per cell]

=====

(4)
Starting from the PBE geometry in Alexandria, the PXRD pattern of Ac3Sm4Y2 was computed for CuKα.

Main lines, by intensity (10 to 90 degrees two-theta):
two_theta, I (rel.), (hkl)
29.18, 100, 2 1 1
29.37, 98, 1 2 -1
33.77, 68, 1 2 2
48.87, 36, 3 3 0
34.24, 33, 2 1 -2
57.50, 30, 3 3 3
57.83, 29, 2 4 1
48.79, 24, 3 0 0
79.04, 15, 5 4 1
58.23, 14, 4 2 -1

Cell: 6.456 6.463 9.181 Å, 89.55 89.01 60.11°
Space group P-1 (No. 2)
One atom of each set of equivalent atoms:
Ac: 0.000 0.000 0.000 [1 per cell]
Ac: 0.334 0.998 0.334 [2 per cell]
Sm: 0.004 0.658 0.334 [2 per cell]
Sm: 0.330 0.341 0.000 [2 per cell]
Y: 0.338 0.659 0.666 [2 per cell]

=====

(5)
Starting from the PBE geometry in Alexandria, the PXRD pattern of Ba3Cu3Si2 was computed for CuKα.

Main lines, by intensity (10 to 90 degrees two-theta):
two_theta, I (rel.), (hkl)
27.99, 100, 1 4 1
30.06, 90, 1 1 2
36.90, 77, 3 0 1
31.12, 77, 2 3 1
48.62, 50, 1 4 3
33.85, 46, 1 3 2
31.46, 46, 2 4 0
32.62, 36, 0 6 0
34.37, 26, 2 4 1
56.21, 25, 0 0 4

Cell: 7.871 16.472 6.547 Å, 90.00 90.00 90.00°
Space group Pnma (No. 62)
One atom of each set of equivalent atoms:
Ba: 0.002 0.105 0.129 [8 per cell]
Ba: 0.110 0.750 0.351 [4 per cell]
Cu: 0.134 0.533 0.398 [8 per cell]
Cu: 0.228 0.250 0.363 [4 per cell]
Si: 0.159 0.074 0.652 [8 per cell]

=====

(6)
Starting from the PBE geometry in Alexandria, the PXRD pattern of LaNd2SmSc was computed for CuKα.

Main lines, by intensity (10 to 90 degrees two-theta):
two_theta, I (rel.), (hkl)
29.73, 100, 1 2 1
28.12, 41, 2 0 0
30.16, 34, 1 0 2
50.78, 23, 3 2 1
28.93, 21, 0 1 2
38.76, 20, 2 2 1
55.80, 18, 1 3 3
58.13, 16, 4 0 0
39.31, 15, 1 3 1
26.12, 13, 0 2 1

Cell: 6.347 7.926 6.703 Å, 90.00 90.00 90.00°
Space group Pmma (No. 51)
One atom of each set of equivalent atoms:
La: 0.250 0.000 0.187 [2 per cell]
Nd: 0.250 0.206 0.709 [4 per cell]
Sm: 0.250 0.500 0.090 [2 per cell]
Sc: 0.000 0.500 0.500 [2 per cell]